[1]
Structure and theoretical powder XRD pattern of Li4Cd5Au2 (a DFT-relaxed cell (GGA-PBE, Alexandria); λ = 1.5418 Å (Cu Kα)).
Lines closer than 0.1° are merged.

Structure:
a = 8.6577 Å, b = 8.6577 Å, c = 5.2649 Å
α = 91.92°, β = 91.92°, γ = 31.62°
Element x y z (fractional)
Li 0.0450 0.0450 0.2924
Li 0.3967 0.3967 0.4372
Li 0.6033 0.6033 0.5628
Li 0.9550 0.9550 0.7076
Cd 0.2088 0.2088 0.3981
Cd 0.3140 0.3140 0.9330
Cd 0.5000 0.5000 0.0000
Cd 0.6860 0.6860 0.0670
Cd 0.7912 0.7912 0.6019
Au 0.1073 0.1073 0.8246
Au 0.8927 0.8927 0.1754

The 8 most intense peaks (10 to 90 degrees two-theta), sorted by position:
two_theta	I (rel.)
16.85	44
20.28	42
26.84	39
30.43	58
32.92	43
37.65	91
38.15	62
39.42	100



[2]
Structure and theoretical powder XRD pattern of LiCd12Au7 (a DFT-relaxed cell (GGA-PBE, Alexandria); λ = 1.5418 Å (Cu Kα)).
Lines closer than 0.1° are merged.

Structure:
a = 7.8396 Å, b = 7.8396 Å, c = 7.8396 Å
α = 106.10°, β = 106.10°, γ = 106.10°
Element x y z (fractional)
Li 0.0000 0.0000 0.0000
Cd 0.0332 0.2910 0.3989
Cd 0.2196 0.6591 0.3615
Cd 0.2910 0.3989 0.0332
Cd 0.3409 0.6385 0.7804
Cd 0.3615 0.2196 0.6591
Cd 0.3989 0.0332 0.2910
Cd 0.6011 0.9668 0.7090
Cd 0.6385 0.7804 0.3409
Cd 0.6591 0.3615 0.2196
Cd 0.7090 0.6011 0.9668
Cd 0.7804 0.3409 0.6385
Cd 0.9668 0.7090 0.6011
Au 0.0199 0.9059 0.3183
Au 0.0941 0.6817 0.9801
Au 0.3183 0.0199 0.9059
Au 0.5000 0.5000 0.5000
Au 0.6817 0.9801 0.0941
Au 0.9059 0.3183 0.0199
Au 0.9801 0.0941 0.6817

The 8 most intense peaks (10 to 90 degrees two-theta), sorted by position:
two_theta	I (rel.)
19.06	19
32.91	42
38.00	100
38.84	54
41.53	35
61.57	20
72.88	13
74.52	24



[3]
Structure and theoretical powder XRD pattern of LiCd6Au (a DFT-relaxed cell (GGA-PBE, Alexandria); λ = 1.5418 Å (Cu Kα)).
Lines closer than 0.1° are merged.

Structure:
a = 4.6142 Å, b = 7.9322 Å, c = 9.1897 Å
α = 90.00°, β = 90.00°, γ = 90.00°
Element x y z (fractional)
Li 0.0000 0.0000 0.0000
Li 0.0000 0.5000 0.5000
Cd 0.0000 0.2100 0.2841
Cd 0.0000 0.2900 0.7841
Cd 0.0000 0.7100 0.7841
Cd 0.0000 0.7900 0.2841
Cd 0.5000 0.0000 0.1967
Cd 0.5000 0.0000 0.7952
Cd 0.5000 0.2036 0.5013
Cd 0.5000 0.2964 0.0013
Cd 0.5000 0.5000 0.2952
Cd 0.5000 0.5000 0.6967
Cd 0.5000 0.7036 0.0013
Cd 0.5000 0.7964 0.5013
Au 0.0000 0.0000 0.5897
Au 0.0000 0.5000 0.0897

The 8 most intense peaks (10 to 90 degrees two-theta), sorted by position:
two_theta	I (rel.)
14.75	26
24.33	18
29.76	14
35.68	100
37.00	30
39.04	32
40.53	30
68.55	14



[4]
Structure and theoretical powder XRD pattern of Li2Cd2Au (a DFT-relaxed cell (GGA-PBE, Alexandria); λ = 1.5418 Å (Cu Kα)).
Lines closer than 0.1° are merged.

Structure:
a = 8.1870 Å, b = 4.6764 Å, c = 5.5084 Å
α = 90.00°, β = 120.42°, γ = 90.00°
Element x y z (fractional)
Li 0.1967 0.0000 0.0891
Li 0.3033 0.5000 0.9109
Li 0.6967 0.5000 0.0891
Li 0.8033 0.0000 0.9109
Cd 0.1006 0.5000 0.3030
Cd 0.3994 0.0000 0.6970
Cd 0.6006 0.0000 0.3030
Cd 0.8994 0.5000 0.6970
Au 0.0000 0.0000 0.5000
Au 0.5000 0.5000 0.5000

The 8 most intense peaks (10 to 90 degrees two-theta), sorted by position:
two_theta	I (rel.)
18.68	70
25.19	100
38.19	66
38.48	96
38.73	31
43.08	34
55.76	21
69.59	27



[5]
Structure and theoretical powder XRD pattern of Li3Cd3Au (a DFT-relaxed cell (GGA-PBE, Alexandria); λ = 1.5418 Å (Cu Kα)).
Lines closer than 0.1° are merged.

Structure:
a = 8.1440 Å, b = 8.1440 Å, c = 8.1440 Å
α = 90.00°, β = 90.00°, γ = 90.00°
Element x y z (fractional)
Li 0.0280 0.3170 0.8586
Li 0.1414 0.5280 0.1830
Li 0.1830 0.1414 0.5280
Li 0.3170 0.8586 0.0280
Li 0.3586 0.4720 0.6830
Li 0.4720 0.6830 0.3586
Li 0.5280 0.1830 0.1414
Li 0.6414 0.9720 0.8170
Li 0.6830 0.3586 0.4720
Li 0.8170 0.6414 0.9720
Li 0.8586 0.0280 0.3170
Li 0.9720 0.8170 0.6414
Cd 0.0418 0.4582 0.5418
Cd 0.1588 0.8412 0.3412
Cd 0.1666 0.1666 0.1666
Cd 0.3334 0.8334 0.6666
Cd 0.3412 0.1588 0.8412
Cd 0.4582 0.5418 0.0418
Cd 0.5418 0.0418 0.4582
Cd 0.6588 0.6588 0.6588
Cd 0.6666 0.3334 0.8334
Cd 0.8334 0.6666 0.3334
Cd 0.8412 0.3412 0.1588
Cd 0.9582 0.9582 0.9582
Au 0.1321 0.6321 0.8679
Au 0.3679 0.3679 0.3679
Au 0.6321 0.8679 0.1321
Au 0.8679 0.1321 0.6321

The 8 most intense peaks (10 to 90 degrees two-theta), sorted by position:
two_theta	I (rel.)
24.44	31
26.81	100
34.84	21
36.60	27
39.91	21
41.49	76
51.42	21
71.40	24



[6]
Structure and theoretical powder XRD pattern of Li3Cd2Au7 (a DFT-relaxed cell (GGA-PBE, Alexandria); λ = 1.5418 Å (Cu Kα)).
Lines closer than 0.1° are merged.

Structure:
a = 4.3410 Å, b = 3.8968 Å, c = 13.5277 Å
α = 90.00°, β = 99.18°, γ = 90.00°
Element x y z (fractional)
Li 0.0000 0.0000 0.0000
Li 0.3490 0.5000 0.6996
Li 0.6510 0.5000 0.3004
Cd 0.1582 0.0000 0.3140
Cd 0.8418 0.0000 0.6860
Au 0.0773 0.5000 0.1527
Au 0.2796 0.0000 0.5598
Au 0.4202 0.0000 0.8438
Au 0.5000 0.5000 0.0000
Au 0.5798 0.0000 0.1562
Au 0.7204 0.0000 0.4402
Au 0.9227 0.5000 0.8473

The 8 most intense peaks (10 to 90 degrees two-theta), sorted by position:
two_theta	I (rel.)
23.79	32
31.02	15
35.21	16
36.68	16
39.01	100
41.61	23
46.60	20
74.19	15



[7]
Structure and theoretical powder XRD pattern of Li2Cd2Au3 (a DFT-relaxed cell (GGA-PBE, Alexandria); λ = 1.5418 Å (Cu Kα)).
Lines closer than 0.1° are merged.

Structure:
a = 7.1460 Å, b = 7.1460 Å, c = 7.1460 Å
α = 38.49°, β = 38.49°, γ = 38.49°
Element x y z (fractional)
Li 0.1366 0.1366 0.1366
Li 0.8634 0.8634 0.8634
Cd 0.4242 0.4242 0.4242
Cd 0.5758 0.5758 0.5758
Au 0.0000 0.0000 0.0000
Au 0.2713 0.2713 0.2713
Au 0.7287 0.7287 0.7287

The 8 most intense peaks (10 to 90 degrees two-theta), sorted by position:
two_theta	I (rel.)
13.40	55
28.33	64
38.21	100
38.70	79
40.66	24
55.52	27
69.06	18
69.39	28



[8]
Structure and theoretical powder XRD pattern of LiCdAu2 (a DFT-relaxed cell (GGA-PBE, Alexandria); λ = 1.5418 Å (Cu Kα)).
Lines closer than 0.1° are merged.

Structure:
a = 3.0243 Å, b = 4.7738 Å, c = 4.9603 Å
α = 90.00°, β = 90.00°, γ = 90.00°
Element x y z (fractional)
Li 0.0000 0.0000 0.0000
Cd 0.0000 0.5000 0.3817
Au 0.5000 0.0000 0.5177
Au 0.5000 0.5000 0.8906

The 8 most intense peaks (10 to 90 degrees two-theta), sorted by position:
two_theta	I (rel.)
25.90	45
29.54	18
34.74	17
36.22	19
37.69	34
39.68	100
41.01	30
69.37	19



[9]
Structure and theoretical powder XRD pattern of LiCd3Au3 (a DFT-relaxed cell (GGA-PBE, Alexandria); λ = 1.5418 Å (Cu Kα)).
Lines closer than 0.1° are merged.

Structure:
a = 5.9902 Å, b = 5.9902 Å, c = 7.7887 Å
α = 90.00°, β = 90.00°, γ = 98.22°
Element x y z (fractional)
Li 0.2217 0.7783 0.0000
Li 0.7783 0.2217 0.0000
Cd 0.2285 0.7715 0.5000
Cd 0.2961 0.2961 0.5000
Cd 0.3061 0.3061 0.0000
Cd 0.6939 0.6939 0.0000
Cd 0.7039 0.7039 0.5000
Cd 0.7715 0.2285 0.5000
Au 0.0000 0.0000 0.2349
Au 0.0000 0.0000 0.7651
Au 0.0000 0.5000 0.2306
Au 0.0000 0.5000 0.7694
Au 0.5000 0.0000 0.2306
Au 0.5000 0.0000 0.7694

The 8 most intense peaks (10 to 90 degrees two-theta), sorted by position:
two_theta	I (rel.)
14.94	12
27.40	19
35.75	13
38.15	100
39.81	25
46.32	17
46.65	14
71.18	15



[10]
Structure and theoretical powder XRD pattern of Li7CdAu3 (a DFT-relaxed cell (GGA-PBE, Alexandria); λ = 1.5418 Å (Cu Kα)).
Lines closer than 0.1° are merged.

Structure:
a = 10.9268 Å, b = 10.9268 Å, c = 12.3092 Å
α = 90.00°, β = 90.00°, γ = 164.78°
Element x y z (fractional)
Li 0.0503 0.9497 0.5867
Li 0.0503 0.9497 0.9133
Li 0.1008 0.8992 0.1164
Li 0.1008 0.8992 0.3836
Li 0.1614 0.8386 0.7500
Li 0.2290 0.7710 0.0988
Li 0.2290 0.7710 0.4012
Li 0.7710 0.2290 0.5988
Li 0.7710 0.2290 0.9012
Li 0.8386 0.1614 0.2500
Li 0.8992 0.1008 0.6164
Li 0.8992 0.1008 0.8836
Li 0.9497 0.0503 0.0867
Li 0.9497 0.0503 0.4133
Cd 0.4874 0.5126 0.7500
Cd 0.5126 0.4874 0.2500
Au 0.3275 0.6725 0.7500
Au 0.3468 0.6532 0.0506
Au 0.3468 0.6532 0.4494
Au 0.6532 0.3468 0.5506
Au 0.6532 0.3468 0.9494
Au 0.6725 0.3275 0.2500

The 8 most intense peaks (10 to 90 degrees two-theta), sorted by position:
two_theta	I (rel.)
16.37	33
21.86	38
23.18	100
24.66	76
27.27	35
31.18	36
33.35	38
38.28	54



[11]
Structure and theoretical powder XRD pattern of Li6Cd5Au (a DFT-relaxed cell (GGA-PBE, Alexandria); λ = 1.5418 Å (Cu Kα)).
Lines closer than 0.1° are merged.

Structure:
a = 8.0693 Å, b = 8.0693 Å, c = 4.6524 Å
α = 106.53°, β = 106.53°, γ = 120.88°
Element x y z (fractional)
Li 0.0809 0.3997 0.7400
Li 0.2309 0.2309 0.2310
Li 0.3997 0.0809 0.7400
Li 0.6003 0.9191 0.2600
Li 0.7691 0.7691 0.7690
Li 0.9191 0.6003 0.2600
Cd 0.1724 0.8276 0.0000
Cd 0.3343 0.6657 0.5000
Cd 0.5000 0.5000 0.0000
Cd 0.6657 0.3343 0.5000
Cd 0.8276 0.1724 0.0000
Au 0.0000 0.0000 0.5000

The 8 most intense peaks (10 to 90 degrees two-theta), sorted by position:
two_theta	I (rel.)
27.03	100
27.43	48
38.48	23
38.74	68
39.02	44
47.89	31
55.72	15
69.94	15



[12]
Structure and theoretical powder XRD pattern of Li2CdAu8 (a DFT-relaxed cell (GGA-PBE, Alexandria); λ = 1.5418 Å (Cu Kα)).
Lines closer than 0.1° are merged.

Structure:
a = 7.6375 Å, b = 7.6375 Å, c = 7.6375 Å
α = 147.15°, β = 124.89°, γ = 65.66°
Element x y z (fractional)
Li 0.1984 0.1984 0.0000
Li 0.8016 0.8016 0.0000
Cd 0.5000 0.5000 0.0000
Au 0.0556 0.3468 0.7088
Au 0.1990 0.0000 0.1990
Au 0.3405 0.8405 0.5000
Au 0.3621 0.6532 0.7088
Au 0.6379 0.3468 0.2912
Au 0.6595 0.1595 0.5000
Au 0.8010 0.0000 0.8010
Au 0.9444 0.6532 0.2912

The 8 most intense peaks (10 to 90 degrees two-theta), sorted by position:
two_theta	I (rel.)
27.92	24
29.38	20
37.15	22
38.88	21
39.09	100
41.83	27
42.25	23
74.55	15